No. 1
Structure and simulated powder XRD pattern of NaCr6O11 (a DFT-relaxed cell (PBE+U, the Materials Project); λ = 1.5418 Å (Cu Kα)).

Largest 10 diffraction maxima, by angle, 2θ = 10–80°:
| 2θ/deg | intensity |
| --- | --- |
| 13.6 | 25 |
| 22.3 | 25 |
| 30.7 | 22 |
| 32.8 | 77 |
| 33.7 | 54 |
| 35.6 | 21 |
| 38.3 | 46 |
| 41.4 | 21 |
| 55.9 | 100 |
| 63.9 | 40 |

Lattice parameters (Å, degrees): 5.8248 5.8248 12.9997 90.03 90.03 120.01
Element x y z (fractional)
Na 0.1659 0.8341 0.5000
Na 0.8341 0.1659 0.0000
Cr 0.0001 0.0000 0.2466
Cr 0.0000 0.0001 0.7466
Cr 0.0001 0.5001 0.2466
Cr 0.0000 0.5000 0.7466
Cr 0.1669 0.8331 0.9965
Cr 0.5000 0.0000 0.2466
Cr 0.5001 0.0001 0.7466
Cr 0.5003 0.5001 0.1011
Cr 0.4996 0.4999 0.3920
Cr 0.5001 0.5003 0.6011
Cr 0.4999 0.4996 0.8920
Cr 0.8331 0.1669 0.4965
O 0.1497 0.3248 0.1679
O 0.1520 0.3251 0.8241
O 0.1666 0.8332 0.1593
O 0.1668 0.8335 0.8339
O 0.1936 0.3474 0.4965
O 0.3248 0.1497 0.6679
O 0.3251 0.1520 0.3241
O 0.3252 0.6730 0.3239
O 0.3266 0.6752 0.6687
O 0.3474 0.1936 0.9965
O 0.3471 0.6529 0.9965
O 0.6529 0.3471 0.4965
O 0.6526 0.8064 0.4965
O 0.6730 0.3252 0.8239
O 0.6752 0.3266 0.1687
O 0.6753 0.8488 0.1685
O 0.6747 0.8494 0.8247
O 0.8064 0.6526 0.9965
O 0.8335 0.1668 0.3339
O 0.8332 0.1666 0.6593
O 0.8494 0.6747 0.3247
O 0.8488 0.6753 0.6685


No. 2
Structure and simulated powder XRD pattern of Li9Mn2Co5O16 (a DFT-relaxed cell (PBE+U, the Materials Project); λ = 1.5418 Å (Cu Kα)).

Largest 10 diffraction maxima, by angle, 2θ = 10–80°:
| 2θ/deg | intensity |
| --- | --- |
| 18.3 | 100 |
| 35.4 | 15 |
| 36.3 | 13 |
| 36.4 | 12 |
| 42.6 | 29 |
| 44.0 | 27 |
| 44.1 | 26 |
| 47.6 | 9 |
| 62.8 | 15 |
| 63.1 | 7 |

Lattice parameters (Å, degrees): 5.7665 5.8628 8.9529 89.51 71.31 89.82
Element x y z (fractional)
Li 0.0000 0.0000 0.0000
Li 0.0032 0.5105 0.9980
Li 0.1273 0.7541 0.2370
Li 0.2537 0.5113 0.4986
Li 0.3759 0.2639 0.7519
Li 0.5025 0.0032 0.9920
Li 0.6380 0.7530 0.2371
Li 0.7487 0.5104 0.5010
Li 0.8684 0.2639 0.7627
Mn 0.1265 0.2623 0.2460
Mn 0.2528 0.0068 0.4970
Co 0.3742 0.7522 0.7548
Co 0.4977 0.5098 0.0017
Co 0.6397 0.2657 0.2312
Co 0.7521 0.0062 0.4951
Co 0.8720 0.7506 0.7549
O 0.0000 0.7876 0.4980
O 0.0083 0.2330 0.4831
O 0.1302 0.5325 0.7396
O 0.1338 0.0065 0.7292
O 0.2544 0.2729 0.0223
O 0.2724 0.7408 0.9879
O 0.3611 0.4902 0.2593
O 0.3621 0.0251 0.2649
O 0.5003 0.7843 0.4964
O 0.5069 0.2277 0.4902
O 0.6271 0.5100 0.7460
O 0.6272 0.9852 0.7434
O 0.7301 0.2692 0.0117
O 0.7388 0.7399 0.9898
O 0.8817 0.4873 0.2564
O 0.8917 0.0281 0.2417


No. 3
Structure and simulated powder XRD pattern of Li2MnC2O6 (a DFT-relaxed cell (PBE+U, the Materials Project); λ = 1.5418 Å (Cu Kα)).

Largest 10 diffraction maxima, by angle, 2θ = 10–80°:
| 2θ/deg | intensity |
| --- | --- |
| 17.7 | 71 |
| 18.0 | 62 |
| 18.7 | 100 |
| 21.3 | 42 |
| 21.7 | 27 |
| 21.9 | 61 |
| 30.1 | 54 |
| 30.5 | 37 |
| 37.3 | 32 |
| 39.9 | 28 |

Lattice parameters (Å, degrees): 5.1687 6.8083 7.9588 90.58 91.36 111.03
Element x y z (fractional)
Li 0.0000 0.0000 0.0000
Li 0.0907 0.7974 0.5111
Li 0.4894 0.4638 0.3461
Li 0.7097 0.4479 0.8575
Mn 0.3578 0.7160 0.9398
Mn 0.8505 0.2152 0.4317
C 0.0411 0.5865 0.2008
C 0.1727 0.3749 0.6909
C 0.5437 0.0928 0.1593
C 0.6499 0.8595 0.6718
O 0.2726 0.3470 0.5490
O 0.3002 0.6046 0.2009
O 0.3225 0.4168 0.8290
O 0.3847 0.0224 0.0271
O 0.3882 0.8305 0.6717
O 0.4544 0.1590 0.2916
O 0.7651 0.8272 0.8119
O 0.7950 0.9129 0.5380
O 0.7987 0.0982 0.1643
O 0.9071 0.5544 0.3410
O 0.9115 0.3553 0.6923
O 0.9238 0.6066 0.0591


No. 4
Structure and simulated powder XRD pattern of MgFe2Co4O8 (a DFT-relaxed cell (PBE+U, the Materials Project); λ = 1.5418 Å (Cu Kα)).

Largest 10 diffraction maxima, by angle, 2θ = 10–80°:
| 2θ/deg | intensity |
| --- | --- |
| 30.5 | 76 |
| 34.3 | 92 |
| 34.9 | 53 |
| 35.0 | 58 |
| 35.1 | 94 |
| 35.5 | 100 |
| 36.0 | 66 |
| 42.1 | 73 |
| 42.5 | 52 |
| 43.0 | 69 |

Lattice parameters (Å, degrees): 5.8196 5.8579 6.1896 117.41 90.66 119.70
Element x y z (fractional)
Mg 0.0000 0.0000 0.0000
Fe 0.5000 0.0000 0.5000
Fe 0.5000 0.5000 0.0000
Co 0.0000 0.5000 0.0000
Co 0.1882 0.3267 0.4634
Co 0.5000 0.0000 0.0000
Co 0.8118 0.6733 0.5366
O 0.2615 0.0165 0.7761
O 0.2622 0.4879 0.2303
O 0.2673 0.0015 0.2355
O 0.2854 0.5586 0.8212
O 0.7146 0.4414 0.1788
O 0.7327 0.9985 0.7645
O 0.7378 0.5121 0.7697
O 0.7385 0.9835 0.2239


No. 5
Structure and simulated powder XRD pattern of Na5VO4 (a DFT-relaxed cell (PBE+U, the Materials Project); λ = 1.5418 Å (Cu Kα)).

Largest 10 diffraction maxima, by angle, 2θ = 10–80°:
| 2θ/deg | intensity |
| --- | --- |
| 16.9 | 46 |
| 20.1 | 63 |
| 29.4 | 48 |
| 31.7 | 88 |
| 32.8 | 34 |
| 34.2 | 32 |
| 39.6 | 87 |
| 48.1 | 100 |
| 49.8 | 36 |
| 65.4 | 33 |

Lattice parameters (Å, degrees): 7.3178 7.5132 5.4684 90.00 90.00 90.00
Element x y z (fractional)
Na 0.0110 0.0565 0.2437
Na 0.0110 0.4435 0.2437
Na 0.2500 0.7500 0.3100
Na 0.4890 0.0565 0.2437
Na 0.4890 0.4435 0.2437
Na 0.5110 0.5565 0.7563
Na 0.5110 0.9435 0.7563
Na 0.7500 0.2500 0.6900
Na 0.9890 0.5565 0.7563
Na 0.9890 0.9435 0.7563
V 0.2500 0.2500 0.7202
V 0.7500 0.7500 0.2798
O 0.0241 0.2500 0.9090
O 0.2500 0.0289 0.5278
O 0.2500 0.4711 0.5278
O 0.4759 0.2500 0.9090
O 0.5241 0.7500 0.0910
O 0.7500 0.5289 0.4722
O 0.7500 0.9711 0.4722
O 0.9759 0.7500 0.0910


No. 6
Structure and simulated powder XRD pattern of Rb2Cr2O7 (a DFT-relaxed cell (PBE+U, the Materials Project); λ = 1.5418 Å (Cu Kα)).

Largest 10 diffraction maxima, by angle, 2θ = 10–80°:
| 2θ/deg | intensity |
| --- | --- |
| 22.7 | 44 |
| 25.2 | 67 |
| 25.4 | 58 |
| 25.5 | 100 |
| 26.0 | 30 |
| 26.7 | 53 |
| 27.7 | 30 |
| 34.4 | 21 |
| 36.8 | 30 |
| 44.2 | 21 |

Lattice parameters (Å, degrees): 7.8885 7.8228 15.6167 90.00 116.41 90.00
Element x y z (fractional)
Rb 0.0163 0.1177 0.1583
Rb 0.0163 0.3823 0.6583
Rb 0.4389 0.7244 0.6332
Rb 0.4389 0.7756 0.1332
Rb 0.5611 0.2244 0.8668
Rb 0.5611 0.2756 0.3668
Rb 0.9837 0.6177 0.3417
Rb 0.9837 0.8823 0.8417
Cr 0.1030 0.1654 0.4207
Cr 0.1030 0.3346 0.9207
Cr 0.4930 0.2161 0.6122
Cr 0.4930 0.2839 0.1122
Cr 0.5070 0.7161 0.8878
Cr 0.5070 0.7839 0.3878
Cr 0.8970 0.6654 0.0793
Cr 0.8970 0.8346 0.5793
O 0.0216 0.7083 0.5453
O 0.0216 0.7917 0.0453
O 0.0237 0.5028 0.1382
O 0.0237 0.9972 0.6382
O 0.1704 0.2249 0.8516
O 0.1704 0.2751 0.3516
O 0.3095 0.0897 0.5230
O 0.3095 0.4103 0.0230
O 0.3627 0.5867 0.8056
O 0.3627 0.9133 0.3056
O 0.3944 0.6759 0.4361
O 0.3944 0.8241 0.9361
O 0.3989 0.1516 0.1604
O 0.3989 0.3484 0.6604
O 0.6011 0.6516 0.3396
O 0.6011 0.8484 0.8396
O 0.6056 0.1759 0.0639
O 0.6056 0.3241 0.5639
O 0.6373 0.0867 0.6944
O 0.6373 0.4133 0.1944
O 0.6905 0.5897 0.9770
O 0.6905 0.9103 0.4770
O 0.8296 0.7249 0.6484
O 0.8296 0.7751 0.1484
O 0.9763 0.0028 0.3618
O 0.9763 0.4972 0.8618
O 0.9784 0.2083 0.9547
O 0.9784 0.2917 0.4547


No. 7
Structure and simulated powder XRD pattern of Mg6MnCuO8 (a DFT-relaxed cell (PBE+U, the Materials Project); λ = 1.5418 Å (Cu Kα)).

Largest 10 diffraction maxima, by angle, 2θ = 10–80°:
| 2θ/deg | intensity |
| --- | --- |
| 10.2 | 45 |
| 20.5 | 11 |
| 31.4 | 15 |
| 36.3 | 42 |
| 41.6 | 53 |
| 42.4 | 100 |
| 60.9 | 58 |
| 61.6 | 30 |
| 73.6 | 13 |
| 77.1 | 26 |

Lattice parameters (Å, degrees): 4.2598 4.2598 8.6830 90.00 90.00 90.00
Element x y z (fractional)
Mg 0.0000 0.0000 0.0000
Mg 0.0000 0.5000 0.2477
Mg 0.0000 0.5000 0.7523
Mg 0.5000 0.0000 0.2477
Mg 0.5000 0.0000 0.7523
Mg 0.5000 0.5000 0.0000
Mn 0.0000 0.0000 0.5000
Cu 0.5000 0.5000 0.5000
O 0.0000 0.0000 0.2449
O 0.0000 0.0000 0.7551
O 0.0000 0.5000 0.0000
O 0.0000 0.5000 0.5000
O 0.5000 0.0000 0.0000
O 0.5000 0.0000 0.5000
O 0.5000 0.5000 0.2432
O 0.5000 0.5000 0.7568